No. 1
Diffraction record for CdIn2SnHg4. The X-ray diffraction stick pattern is theoretical, not measured: it uses a crystal structure in Alexandria, relaxed with GGA-PBE and Cu Kα, 1.54184 Å.
Lines closer than 0.1° are merged.

Top 8 peaks for 2θ from 10° to 90°, by intensity:
two_theta, intensity
29.24, 1000
42.19, 749
29.74, 478
52.16, 404
41.82, 384
76.62, 264
25.39, 185
68.71, 178

Cell and atoms:
```
CdIn2SnHg4
1.0
6.1092 0.0000 0.0000
0.0000 6.1092 0.0000
0.0000 0.0000 12.0172
Cd In Sn Hg
2 4 2 8
Direct
0.0000 0.0000 0.0000
0.5000 0.5000 0.5000
0.0000 0.0000 0.5000
0.0000 0.5000 0.2500
0.5000 0.0000 0.7500
0.5000 0.5000 0.0000
0.0000 0.5000 0.7500
0.5000 0.0000 0.2500
0.0000 0.0000 0.2478
0.0000 0.0000 0.7522
0.0000 0.5000 0.5010
0.0000 0.5000 0.9990
0.5000 0.0000 0.0010
0.5000 0.0000 0.4990
0.5000 0.5000 0.2522
0.5000 0.5000 0.7478
```

=====

No. 2
Diffraction record for Cd4InSn2Hg. The X-ray diffraction stick pattern is theoretical, not measured: it uses a crystal structure in Alexandria, relaxed with GGA-PBE and Cu Kα, 1.54184 Å.
Lines closer than 0.1° are merged.

Top 8 peaks for 2θ from 10° to 90°, by intensity:
two_theta, intensity
32.04, 1000
38.53, 606
33.60, 439
36.36, 355
39.74, 277
54.63, 217
58.43, 176
62.96, 140

Cell and atoms:
```
Cd4InSn2Hg
1.0
5.7239 0.0000 0.0000
0.0000 3.5448 0.0000
-1.8811 0.0000 9.8833
Cd In Sn Hg
4 1 2 1
Direct
0.2398 0.0000 0.2530
0.2438 0.5000 0.7462
0.7562 0.5000 0.2538
0.7602 0.0000 0.7470
0.0000 0.5000 0.0000
0.5000 0.0000 0.0000
0.5000 0.5000 0.5000
0.0000 0.0000 0.5000
```

=====

No. 3
Diffraction record for Cd4In2SnHg2. The X-ray diffraction stick pattern is theoretical, not measured: it uses a crystal structure in Alexandria, relaxed with GGA-PBE and Cu Kα, 1.54184 Å.
Lines closer than 0.1° are merged.

Top 8 peaks for 2θ from 10° to 90°, by intensity:
two_theta, intensity
33.08, 1000
38.40, 655
32.57, 509
35.39, 411
39.96, 302
54.71, 228
58.49, 189
68.23, 173

Cell and atoms:
```
Cd4In2SnHg2
1.0
8.0264 -1.6929 0.0000
8.0264 1.6929 0.0000
-0.0926 0.0000 8.2479
Cd In Sn Hg
4 2 1 2
Direct
0.0524 0.0524 0.1636
0.2805 0.2805 0.8360
0.7195 0.7195 0.1640
0.9476 0.9476 0.8364
0.1660 0.1660 0.5021
0.8340 0.8340 0.4979
0.5000 0.5000 0.5000
0.3869 0.3869 0.1528
0.6131 0.6131 0.8472
```